No. 1
InGa2Ag3Se6: computed X-ray powder pattern (Cu Ka), based on a DFT-relaxed cell (PBE, the Materials Project).
Neutral-atom scattering factors, no anomalous dispersion.

Top 10 peaks for 10° ≤ 2θ ≤ 90°, in order of rising 2θ:
Position (°2θ), Rel. int.
25.76, 100
41.84, 26
43.13, 47
49.79, 31
52.04, 13
60.65, 8
68.89, 11
77.29, 15
79.97, 7
82.20, 6

Cell and atoms:
```
24
Lattice="-3.0537 3.0537 17.3150 3.0537 -3.0537 17.3150 3.0537 3.0537 -17.3150" Properties=species:S:1:pos:R:3 pbc="T T T"
In 0.0000 0.0000 5.7598
In 0.0000 0.0000 28.8703
Ga 3.0537 0.0000 8.6575
Ga 0.0000 0.0000 17.3150
Ga 0.0000 3.0537 2.8069
Ga 0.0000 3.0537 14.5082
Ag 0.0000 0.0000 0.0000
Ag 3.0537 0.0000 2.8399
Ag 0.0000 0.0000 11.5583
Ag 3.0537 0.0000 14.4751
Ag 0.0000 0.0000 23.0717
Ag 0.0000 3.0537 8.6575
Se 1.6258 -1.4400 10.0359
Se 1.6091 1.4099 -4.2195
Se 4.4037 1.5260 -1.4071
Se 1.5260 1.7037 1.4071
Se 1.6438 -1.4446 21.5345
Se 1.6137 1.4279 7.2792
Se 1.4279 4.4937 -7.2792
Se 1.4446 1.6438 13.0956
Se -1.3500 1.5277 15.9079
Se 1.5277 1.3500 18.7221
Se 1.4099 4.4983 4.2195
Se 1.4400 1.6258 24.5942
```

No. 2
InGaAg2Te2Se2: computed X-ray powder pattern (Cu Ka), based on a DFT-relaxed cell (PBE, the Materials Project).
Neutral-atom scattering factors, no anomalous dispersion.

Top 10 peaks for 10° ≤ 2θ ≤ 90°, in order of rising 2θ:
Position (°2θ), Rel. int.
24.72, 100
40.30, 27
41.15, 25
41.30, 25
47.72, 16
48.00, 16
49.46, 14
73.74, 8
74.06, 8
75.77, 7

Cell and atoms:
```
8
Lattice="4.4730 -6.0664 0.0000 4.4730 6.0664 0.0000 -4.4391 0.0000 4.4781" Properties=species:S:1:pos:R:3 pbc="T T T"
In 0.0000 0.0000 0.0000
Ga 2.2534 3.2582 2.2390
Ag 4.4730 0.0514 0.0000
Ag 2.2534 -2.8701 2.2390
Te 0.1001 1.6981 2.2626
Te 4.4068 1.6981 2.2155
Se -2.2274 -1.4724 4.3350
Se 6.7342 -1.4724 0.1431
```

No. 3
Li2GaAg: computed X-ray powder pattern (Cu Ka), based on a DFT-relaxed cell (PBE, the Materials Project).
Neutral-atom scattering factors, no anomalous dispersion.

Top 10 peaks for 10° ≤ 2θ ≤ 90°, in order of rising 2θ:
Position (°2θ), Rel. int.
24.43, 100
28.28, 5
40.42, 93
47.80, 47
58.49, 15
64.34, 19
66.22, 1
73.51, 30
78.79, 14
87.41, 10

Cell and atoms:
```
4
Lattice="0.0000 3.1558 3.1558 3.1558 0.0000 3.1558 3.1558 3.1558 0.0000" Properties=species:S:1:pos:R:3 pbc="T T T"
Li 0.0000 0.0000 0.0000
Li 1.5779 1.5779 1.5779
Ga 4.7337 4.7337 4.7337
Ag 3.1558 3.1558 3.1558
```

No. 4
Lu2GaAg: computed X-ray powder pattern (Cu Ka), based on a DFT-relaxed cell (PBE, the Materials Project).
Neutral-atom scattering factors, no anomalous dispersion.

Top 10 peaks for 10° ≤ 2θ ≤ 90°, in order of rising 2θ:
Position (°2θ), Rel. int.
21.73, 1
25.14, 11
35.85, 100
44.29, 3
51.61, 18
58.24, 5
64.43, 36
75.99, 11
81.53, 2
86.98, 16

Cell and atoms:
```
4
Lattice="0.0000 3.5421 3.5421 3.5421 0.0000 3.5421 3.5421 3.5421 0.0000" Properties=species:S:1:pos:R:3 pbc="T T T"
Lu 1.7711 1.7711 1.7711
Lu 5.3132 5.3132 5.3132
Ga 0.0000 0.0000 0.0000
Ag 3.5421 3.5421 3.5421
```

No. 5
MgGaAg2: computed X-ray powder pattern (Cu Ka), based on a DFT-relaxed cell (PBE, the Materials Project).
Neutral-atom scattering factors, no anomalous dispersion.

Top 10 peaks for 10° ≤ 2θ ≤ 90°, in order of rising 2θ:
Position (°2θ), Rel. int.
23.45, 5
27.14, 20
38.75, 100
45.79, 3
47.95, 5
55.97, 16
63.28, 6
70.15, 32
83.15, 10
89.47, 3

Cell and atoms:
```
4
Lattice="0.0000 3.2860 3.2860 3.2860 0.0000 3.2860 3.2860 3.2860 0.0000" Properties=species:S:1:pos:R:3 pbc="T T T"
Mg 0.0000 0.0000 0.0000
Ga 3.2860 3.2860 3.2860
Ag 1.6430 1.6430 1.6430
Ag 4.9290 4.9290 4.9290
```

No. 6
Ga40AgMo8: computed X-ray powder pattern (Cu Ka), based on a DFT-relaxed cell (PBE, the Materials Project).
Neutral-atom scattering factors, no anomalous dispersion.

Top 10 peaks for 10° ≤ 2θ ≤ 90°, in order of rising 2θ:
Position (°2θ), Rel. int.
21.81, 35
30.86, 52
38.11, 43
39.45, 32
39.79, 44
39.93, 61
41.55, 41
41.92, 51
43.95, 100
44.46, 73

Cell and atoms:
```
49
Lattice="7.0582 4.0750 5.0739 -7.0582 4.0750 5.0739 0.0000 -8.1501 5.0739" Properties=species:S:1:pos:R:3 pbc="T T T"
Ga 0.0000 0.0000 0.0000
Ga -7.0582 0.0000 7.6108
Ga -3.5291 2.0375 2.5369
Ga -1.7002 -0.1366 2.4980
Ga -2.6472 -3.9409 6.0768
Ga -1.3216 -2.2445 4.3362
Ga -0.1631 -5.2388 5.1323
Ga -4.4554 2.7606 5.1323
Ga 0.9684 -1.4041 2.4980
Ga -3.5121 -1.6060 7.5136
Ga -4.6185 -2.4782 10.0894
Ga -2.2280 0.1981 5.9257
Ga -4.7366 0.3221 9.1449
Ga 0.7318 1.5408 2.4980
Ga -1.2830 2.2668 4.3362
Ga -0.3652 -3.8446 7.7080
Ga 0.9425 -2.0285 5.9257
Ga -3.1469 2.2386 7.7080
Ga -2.0894 4.2630 6.0767
Ga -1.2855 -1.8305 9.2959
Ga 2.6046 -0.0223 4.3362
Ga 3.5291 2.0375 2.5369
Ga -2.6046 0.0223 10.8854
Ga 1.2855 1.8305 5.9257
Ga 2.0894 -4.2630 9.1449
Ga 3.1469 -2.2386 7.5136
Ga -0.9425 2.0285 9.2959
Ga 0.3652 3.8446 7.5136
Ga 1.2830 -2.2668 10.8854
Ga -0.7318 -1.5408 12.7236
Ga 4.7366 -0.3221 6.0767
Ga 2.2280 -0.1981 9.2959
Ga 4.6185 2.4782 5.1323
Ga 3.5121 1.6060 7.7080
Ga -0.9684 1.4041 12.7236
Ga 4.4554 -2.7606 10.0894
Ga 0.1631 5.2388 10.0894
Ga 1.3216 2.2445 10.8854
Ga 2.6472 3.9410 9.1449
Ga 1.7002 0.1366 12.7236
Ag 0.0000 0.0000 7.6108
Mo -4.7946 0.5240 6.5541
Mo -2.8511 -3.8902 8.6675
Mo 0.0000 0.0000 4.5629
Mo 1.9435 -4.4142 6.5541
Mo -1.9435 4.4143 8.6675
Mo 0.0000 0.0000 10.6587
Mo 2.8511 3.8902 6.5541
Mo 4.7946 -0.5240 8.6675
```